(1)
Starting from a crystal structure in Alexandria, relaxed with GGA-PBE, the powder X-ray diffraction pattern of AcSmRhO6 was computed for Cu Kα, 1.54184 Å.

Top 10 peaks for 5 to 70 degrees two-theta, sorted by position:
- d 3.581, 2θ = 24.86°, intensity 100, hkl 1 0 1
- d 2.815, 2θ = 31.79°, intensity 40, hkl 1 1 0
- d 2.639, 2θ = 33.98°, intensity 9, hkl 0 0 2
- d 2.213, 2θ = 40.77°, intensity 27, hkl 2 0 1
- d 1.925, 2θ = 47.21°, intensity 38, hkl 2 -1 2
- d 1.740, 2θ = 52.60°, intensity 26, hkl 3 -1 1
- d 1.655, 2θ = 55.54°, intensity 11, hkl 1 0 3
- d 1.625, 2θ = 56.63°, intensity 12, hkl 3 0 0
- d 1.426, 2θ = 65.43°, intensity 7, hkl 2 0 3
- d 1.384, 2θ = 67.71°, intensity 9, hkl 3 0 2

Crystal structure
Lattice parameters (Å, degrees): 5.6300 5.6300 5.2772 90.00 90.00 120.00
Space group P312 (No. 149)
Unique sites:
Ac  0.0000  0.0000  0.0000 x1
Sm  0.3333  0.6667  0.5000 x1
Rh  0.6667  0.3333  0.5000 x1
O  0.3805  0.0453  0.7142 x6

(2)
Starting from a crystal structure in Alexandria, relaxed with GGA-PBE, the powder X-ray diffraction pattern of BaNa10Hg2 was computed for Cu Kα, 1.54184 Å.

Top 10 peaks for 5 to 70 degrees two-theta, sorted by position:
- d 8.479, 2θ = 10.43°, intensity 100, hkl 0 0 2
- d 8.156, 2θ = 10.85°, intensity 30, hkl 0 2 0
- d 5.878, 2θ = 15.07°, intensity 33, hkl 0 2 2
- d 4.240, 2θ = 20.95°, intensity 20, hkl 0 0 4
- d 4.078, 2θ = 21.79°, intensity 21, hkl 0 4 0
- d 3.675, 2θ = 24.22°, intensity 30, hkl 0 4 2
- d 2.939, 2θ = 30.41°, intensity 36, hkl 0 4 4
- d 2.857, 2θ = 31.31°, intensity 58, hkl 2 2 2
- d 2.589, 2θ = 34.65°, intensity 20, hkl 2 0 4
- d 2.467, 2θ = 36.41°, intensity 26, hkl 2 2 4

Crystal structure
Lattice parameters (Å, degrees): 6.538 16.311 16.958 90.00 90.00 90.00
Space group Fmmm (No. 69)
Unique sites:
Ba  0.000  0.000  0.000 x4
Na  0.000  0.113  0.399 x16
Na  0.000  0.184  0.165 x16
Na  0.250  0.000  0.250 x8
Hg  0.250  0.250  0.000 x8

(3)
Starting from a crystal structure in Alexandria, relaxed with GGA-PBE, the powder X-ray diffraction pattern of MgTePd was computed for Cu Kα, 1.54184 Å.

Top 10 peaks for 5 to 70 degrees two-theta, sorted by position:
- d 8.237, 2θ = 10.74°, intensity 43, hkl 0 0 1
- d 4.119, 2θ = 21.58°, intensity 20, hkl 0 0 2
- d 4.077, 2θ = 21.80°, intensity 22, hkl 0 1 0
- d 2.746, 2θ = 32.61°, intensity 22, hkl 0 0 3
- d 2.649, 2θ = 33.84°, intensity 100, hkl 1 1 1
- d 2.314, 2θ = 38.92°, intensity 52, hkl 1 1 -2
- d 2.039, 2θ = 44.44°, intensity 24, hkl 0 2 0
- d 1.962, 2θ = 46.27°, intensity 16, hkl 1 1 -3
- d 1.957, 2θ = 46.40°, intensity 16, hkl 1 1 3
- d 1.923, 2θ = 47.28°, intensity 20, hkl 2 0 0

Crystal structure
Lattice parameters (Å, degrees): 3.845 4.077 8.237 90.00 90.21 90.00
Space group Pm (No. 6)
Unique sites:
Mg  0.000  0.000  0.000 x1
Mg  0.005  0.000  0.579 x1
Te  0.004  0.500  0.299 x1
Te  0.505  0.500  0.731 x1
Pd  0.501  0.500  0.049 x1
Pd  0.505  0.000  0.299 x1

(4)
Starting from a crystal structure in Alexandria, relaxed with GGA-PBE, the powder X-ray diffraction pattern of Cs7K5Au6 was computed for Cu Kα, 1.54184 Å.

Top 10 peaks for 5 to 70 degrees two-theta, sorted by position:
- d 6.175, 2θ = 14.34°, intensity 30, hkl 0 2 0
- d 5.743, 2θ = 15.43°, intensity 100, hkl 0 0 2
- d 4.326, 2θ = 20.53°, intensity 55, hkl 3 1 1
- d 3.907, 2θ = 22.76°, intensity 30, hkl 3 2 0
- d 3.790, 2θ = 23.47°, intensity 31, hkl 3 0 2
- d 3.088, 2θ = 28.92°, intensity 29, hkl 0 4 0
- d 3.073, 2θ = 29.05°, intensity 87, hkl 3 3 1
- d 2.961, 2θ = 30.18°, intensity 44, hkl 3 1 3
- d 2.451, 2θ = 36.67°, intensity 70, hkl 3 3 3
- d 2.311, 2θ = 38.98°, intensity 29, hkl 6 0 2

Crystal structure
Lattice parameters (Å, degrees): 15.134 12.351 11.487 90.00 90.00 90.00
Space group Amm2 (No. 38)
Unique sites:
Cs  0.000  0.000  0.000 x2
Cs  0.170  0.206  0.303 x8
Cs  0.500  0.207  0.292 x4
K  0.000  0.000  0.603 x2
K  0.337  0.000  0.592 x4
K  0.337  0.000  0.995 x4
Au  0.000  0.000  0.312 x2
Au  0.175  0.000  0.790 x4
Au  0.335  0.000  0.295 x4
Au  0.500  0.000  0.793 x2

(5)
Starting from a crystal structure in Alexandria, relaxed with GGA-PBE, the powder X-ray diffraction pattern of AcH6Au2 was computed for Cu Kα, 1.54184 Å.

Top 10 peaks for 5 to 70 degrees two-theta, sorted by position:
- d 3.298, 2θ = 27.03°, intensity 49, hkl 1 3 1
- d 3.273, 2θ = 27.24°, intensity 51, hkl 3 1 1
- d 3.015, 2θ = 29.63°, intensity 43, hkl 0 4 0
- d 2.977, 2θ = 30.02°, intensity 36, hkl 4 0 0
- d 2.889, 2θ = 30.96°, intensity 100, hkl 2 0 2
- d 2.597, 2θ = 34.54°, intensity 44, hkl 3 3 1
- d 2.118, 2θ = 42.69°, intensity 23, hkl 4 4 0
- d 2.085, 2θ = 43.41°, intensity 37, hkl 2 4 2
- d 2.075, 2θ = 43.62°, intensity 19, hkl 4 2 2
- d 1.537, 2θ = 60.21°, intensity 37, hkl 2 2 4

Crystal structure
Lattice parameters (Å, degrees): 11.907 12.059 6.597 90.00 90.00 90.00
Space group Fdd2 (No. 43)
Unique sites:
Ac  0.000  0.000  0.000 x8
H  0.047  0.307  0.350 x16
H  0.078  0.179  0.105 x16
H  0.111  0.387  0.846 x16
Au  0.031  0.225  0.605 x16

(6)
Starting from a crystal structure in Alexandria, relaxed with GGA-PBE, the powder X-ray diffraction pattern of Ac3La3Pm8 was computed for Cu Kα, 1.54184 Å.

Top 10 peaks for 5 to 70 degrees two-theta, sorted by position:
- d 3.949, 2θ = 22.52°, intensity 11, hkl 0 0 4
- d 3.153, 2θ = 28.31°, intensity 18, hkl 1 1 4
- d 3.079, 2θ = 29.00°, intensity 29, hkl 0 3 3
- d 2.959, 2θ = 30.20°, intensity 100, hkl 1 3 2
- d 2.949, 2θ = 30.31°, intensity 44, hkl 2 0 0
- d 2.785, 2θ = 32.14°, intensity 50, hkl 1 0 5
- d 2.130, 2θ = 42.45°, intensity 21, hkl 2 3 3
- d 1.704, 2θ = 53.78°, intensity 21, hkl 3 3 2
- d 1.596, 2θ = 57.77°, intensity 13, hkl 2 6 0
- d 1.568, 2θ = 58.89°, intensity 15, hkl 1 6 5

Crystal structure
Lattice parameters (Å, degrees): 5.897 11.387 15.795 90.00 90.00 90.00
Space group Immm (No. 71)
Unique sites:
Ac  0.000  0.000  0.000 x2
Ac  0.000  0.312  0.000 x4
La  0.000  0.000  0.500 x2
La  0.000  0.500  0.192 x4
Pm  0.000  0.162  0.223 x8
Pm  0.000  0.338  0.397 x8

(7)
Starting from a crystal structure in Alexandria, relaxed with GGA-PBE, the powder X-ray diffraction pattern of LaBe4 was computed for Cu Kα, 1.54184 Å.

Top 10 peaks for 5 to 70 degrees two-theta, sorted by position:
- d 4.467, 2θ = 19.87°, intensity 36, hkl 0 0 2
- d 3.674, 2θ = 24.23°, intensity 100, hkl 1 0 1
- d 2.850, 2θ = 31.39°, intensity 30, hkl 1 1 0
- d 2.403, 2θ = 37.43°, intensity 43, hkl 1 1 2
- d 2.395, 2θ = 37.55°, intensity 42, hkl 1 0 3
- d 2.015, 2θ = 44.99°, intensity 15, hkl 2 0 0
- d 1.837, 2θ = 49.63°, intensity 14, hkl 2 0 2
- d 1.767, 2θ = 51.74°, intensity 26, hkl 2 1 1
- d 1.634, 2θ = 56.32°, intensity 12, hkl 1 0 5
- d 1.542, 2θ = 59.99°, intensity 21, hkl 2 1 3

Crystal structure
Lattice parameters (Å, degrees): 4.030 4.030 8.935 90.00 90.00 90.00
Space group I4/mmm (No. 139)
Unique sites:
La  0.000  0.000  0.000 x2
Be  0.000  0.000  0.368 x4
Be  0.000  0.500  0.250 x4

(8)
Starting from a crystal structure in Alexandria, relaxed with GGA-PBE, the powder X-ray diffraction pattern of BaY3Ru was computed for Cu Kα, 1.54184 Å.

Top 10 peaks for 5 to 70 degrees two-theta, sorted by position:
- d 6.835, 2θ = 12.95°, intensity 22, hkl 1 0 0
- d 3.946, 2θ = 22.53°, intensity 17, hkl 1 1 0
- d 3.106, 2θ = 28.74°, intensity 14, hkl 0 0 2
- d 2.994, 2θ = 29.84°, intensity 100, hkl 2 0 1
- d 2.828, 2θ = 31.64°, intensity 10, hkl 1 0 2
- d 2.299, 2θ = 39.19°, intensity 36, hkl 2 0 2
- d 1.973, 2θ = 46.00°, intensity 31, hkl 2 2 0
- d 1.771, 2θ = 51.61°, intensity 21, hkl 2 0 3
- d 1.665, 2θ = 55.15°, intensity 13, hkl 2 2 2
- d 1.648, 2θ = 55.80°, intensity 16, hkl 4 0 1

Crystal structure
Lattice parameters (Å, degrees): 7.8926 7.8926 6.2120 90.00 90.00 120.00
Space group P6_3/mmc (No. 194)
Unique sites:
Ba  0.3333  0.6667  0.2500 x2
Y  0.1658  0.3315  0.7500 x6
Ru  0.0000  0.0000  0.0000 x2